Diffraction record for K2TlAuBr6. The X-ray diffraction stick pattern is simulated, not measured: it uses a cell relaxed with GGA-PBE and a wavelength of 1.5418 Å.
Neutral-atom scattering factors, no anomalous dispersion.

Top 6 peaks for 10° ≤ 2θ ≤ 80°, by angle:
2θ (°)  d (Å)  I (rel.)
15.81  5.606  100.0
22.43  3.964  39.1
31.93  2.803  77.1
35.82  2.507  55.2
45.78  1.982  55.5
48.73  1.869  29.5

Atomic structure:
a b c (Å): 7.928 7.928 7.928
angles (deg): 60.00 60.00 60.00
Fractional positions:
K 0.250 0.250 0.250
K 0.750 0.750 0.750
Tl 0.000 0.000 0.000
Au 0.500 0.500 0.500
Br 0.257 0.257 0.743
Br 0.257 0.743 0.257
Br 0.257 0.743 0.743
Br 0.743 0.257 0.257
Br 0.743 0.257 0.743
Br 0.743 0.743 0.257